# Er4B6O15
Simulated XRD peak list, CuKα. Input: a cell relaxed with PBE.
No peak broadening, texture or thermal motion is included.

```
data_Er4B6O15
_space_group_name_H-M_alt 'C 1 2/c 1'
_space_group_IT_number 15
_space_group_name_Hall '-C 2yc'
_cell_length_a 11.6436
_cell_length_b 4.3809
_cell_length_c 18.8404
_cell_angle_alpha 90.00
_cell_angle_beta 96.46
_cell_angle_gamma 90.00
loop_
_atom_site_label
_atom_site_type_symbol
_atom_site_fract_x
_atom_site_fract_y
_atom_site_fract_z
Er1 Er 0.1327 0.2008 0.0989
Er2 Er 0.1375 0.2097 0.3025
B1 B 0.0676 0.2721 0.6943
B2 B 0.0973 0.2940 0.9128
B3 B 0.1692 0.1906 0.4744
O1 O 0.0000 0.1314 0.7500
O2 O 0.0140 0.1739 0.6215
O3 O 0.0646 0.4009 0.1967
O4 O 0.0843 0.3731 0.4298
O5 O 0.1274 0.1212 0.9795
O6 O 0.1819 0.1333 0.7037
O7 O 0.1816 0.2582 0.8617
O8 O 0.2085 0.2964 0.5495
```

Largest 10 diffraction maxima, sorted by position, 10 to 90 degrees two-theta:
(1 1 1), 22.40 deg, rel. 56; (2 0 -4), 23.06 deg, rel. 32; (2 0 4), 25.80 deg, rel. 28; (4 0 0), 30.88 deg, rel. 100; (2 0 -6), 31.00 deg, rel. 22; (1 1 -5), 31.72 deg, rel. 62; (1 1 5), 33.04 deg, rel. 48; (0 2 0), 41.21 deg, rel. 21; (5 1 -5), 48.54 deg, rel. 20; (4 2 0), 52.42 deg, rel. 20